For SrNiAu11, a crystal structure in Alexandria, relaxed with GGA-PBE gives the simulated PXRD pattern in this record (Cu Ka).
Kinematic intensities with the Lorentz-polarization factor, no thermal factor.

Atomic structure:
```
data_SrNiAu11
_cell_length_a 7.277
_cell_length_b 7.277
_cell_length_c 7.277
_cell_angle_alpha 98.48
_cell_angle_beta 98.48
_cell_angle_gamma 134.79
_symmetry_space_group_name_H-M 'P 1'
_symmetry_Int_Tables_number 1
loop_
_symmetry_equiv_pos_as_xyz
'x,y,z'
loop_
_atom_site_label
_atom_site_fract_x
_atom_site_fract_y
_atom_site_fract_z
Sr1 0.000 0.000 0.000
Ni1 0.500 0.500 0.500
Au1 0.000 0.000 0.500
Au2 0.000 0.500 0.000
Au3 0.029 0.367 0.357
Au4 0.294 0.506 0.779
Au5 0.367 0.029 0.357
Au6 0.494 0.706 0.221
Au7 0.500 0.000 0.000
Au8 0.506 0.294 0.779
Au9 0.633 0.971 0.643
Au10 0.706 0.494 0.221
Au11 0.971 0.633 0.643
```

Largest 12 diffraction maxima, low angle first, 2θ = 10–80°:
18.40 deg, rel. 17; 31.99 deg, rel. 21; 32.49 deg, rel. 41; 37.30 deg, rel. 62; 37.73 deg, rel. 99; 37.87 deg, rel. 61; 42.03 deg, rel. 100; 42.42 deg, rel. 50; 42.55 deg, rel. 49; 60.85 deg, rel. 23; 68.03 deg, rel. 29; 68.31 deg, rel. 26

***

For Na3TaSn, a crystal structure in Alexandria, relaxed with GGA-PBE gives the simulated PXRD pattern in this record (Cu Ka).
Kinematic intensities with the Lorentz-polarization factor, no thermal factor.

Atomic structure:
```
data_Na3TaSn
_cell_length_a 5.675
_cell_length_b 5.675
_cell_length_c 5.675
_cell_angle_alpha 90.00
_cell_angle_beta 90.00
_cell_angle_gamma 90.00
_symmetry_space_group_name_H-M 'P 1'
_symmetry_Int_Tables_number 1
loop_
_symmetry_equiv_pos_as_xyz
'x,y,z'
loop_
_atom_site_label
_atom_site_fract_x
_atom_site_fract_y
_atom_site_fract_z
Na1 0.000 0.000 0.500
Na2 0.000 0.500 0.000
Na3 0.500 0.000 0.000
Ta1 0.500 0.500 0.500
Sn1 0.000 0.000 0.000
```

Largest 12 diffraction maxima, low angle first, 2θ = 10–80°:
22.15 deg, rel. 100; 27.22 deg, rel. 9; 31.53 deg, rel. 39; 38.87 deg, rel. 48; 45.19 deg, rel. 29; 50.88 deg, rel. 23; 56.15 deg, rel. 10; 61.10 deg, rel. 26; 65.83 deg, rel. 5; 70.39 deg, rel. 13; 74.82 deg, rel. 13; 79.17 deg, rel. 7

***

For Pa4Bi8Pd3, a crystal structure in Alexandria, relaxed with GGA-PBE gives the simulated PXRD pattern in this record (Cu Ka).
Kinematic intensities with the Lorentz-polarization factor, no thermal factor.

Atomic structure:
```
data_Pa4Bi8Pd3
_cell_length_a 4.598
_cell_length_b 4.598
_cell_length_c 18.737
_cell_angle_alpha 90.00
_cell_angle_beta 90.00
_cell_angle_gamma 90.00
_symmetry_space_group_name_H-M 'P 1'
_symmetry_Int_Tables_number 1
loop_
_symmetry_equiv_pos_as_xyz
'x,y,z'
loop_
_atom_site_label
_atom_site_fract_x
_atom_site_fract_y
_atom_site_fract_z
Pa1 0.000 0.500 0.111
Pa2 0.000 0.500 0.615
Pa3 0.500 0.000 0.385
Pa4 0.500 0.000 0.889
Bi1 0.000 0.000 0.246
Bi2 0.000 0.000 0.754
Bi3 0.000 0.500 0.406
Bi4 0.000 0.500 0.916
Bi5 0.500 0.000 0.084
Bi6 0.500 0.000 0.594
Bi7 0.500 0.500 0.246
Bi8 0.500 0.500 0.754
Pd1 0.000 0.000 0.000
Pd2 0.000 0.000 0.500
Pd3 0.500 0.500 0.500
```

Largest 12 diffraction maxima, low angle first, 2θ = 10–80°:
28.58 deg, rel. 17; 29.07 deg, rel. 22; 33.55 deg, rel. 100; 34.72 deg, rel. 6; 38.43 deg, rel. 8; 39.19 deg, rel. 43; 49.22 deg, rel. 16; 52.76 deg, rel. 6; 56.05 deg, rel. 11; 56.65 deg, rel. 26; 64.64 deg, rel. 7; 67.44 deg, rel. 28

***

For KNiAgBr6, a crystal structure in Alexandria, relaxed with GGA-PBE gives the simulated PXRD pattern in this record (Cu Ka).
Kinematic intensities with the Lorentz-polarization factor, no thermal factor.

Atomic structure:
```
data_KNiAgBr6
_cell_length_a 6.931
_cell_length_b 6.938
_cell_length_c 7.156
_cell_angle_alpha 90.08
_cell_angle_beta 90.16
_cell_angle_gamma 119.75
_symmetry_space_group_name_H-M 'P 1'
_symmetry_Int_Tables_number 1
loop_
_symmetry_equiv_pos_as_xyz
'x,y,z'
loop_
_atom_site_label
_atom_site_fract_x
_atom_site_fract_y
_atom_site_fract_z
K1 0.000 0.000 0.000
Ni1 0.667 0.334 0.500
Ag1 0.333 0.667 0.500
Br1 0.396 0.039 0.702
Br2 0.396 0.359 0.297
Br3 0.641 0.604 0.702
Br4 0.642 0.039 0.297
Br5 0.961 0.358 0.703
Br6 0.962 0.604 0.298
```

Largest 12 diffraction maxima, low angle first, 2θ = 10–80°:
12.37 deg, rel. 100; 14.73 deg, rel. 40; 19.28 deg, rel. 67; 28.50 deg, rel. 49; 28.62 deg, rel. 96; 35.92 deg, rel. 35; 36.08 deg, rel. 45; 36.13 deg, rel. 35; 41.71 deg, rel. 20; 41.79 deg, rel. 17; 45.18 deg, rel. 29; 46.19 deg, rel. 27

***

For Co3Cu, a crystal structure in Alexandria, relaxed with GGA-PBE gives the simulated PXRD pattern in this record (Cu Ka).
Kinematic intensities with the Lorentz-polarization factor, no thermal factor.

Atomic structure:
```
data_Co3Cu
_cell_length_a 8.370
_cell_length_b 2.497
_cell_length_c 4.340
_cell_angle_alpha 90.00
_cell_angle_beta 100.14
_cell_angle_gamma 90.00
_symmetry_space_group_name_H-M 'P 1'
_symmetry_Int_Tables_number 1
loop_
_symmetry_equiv_pos_as_xyz
'x,y,z'
loop_
_atom_site_label
_atom_site_fract_x
_atom_site_fract_y
_atom_site_fract_z
Co1 0.000 0.000 0.000
Co2 0.246 0.500 0.242
Co3 0.254 0.000 0.758
Co4 0.500 0.500 0.000
Co5 0.746 0.000 0.242
Co6 0.754 0.500 0.758
Cu1 0.000 0.500 0.500
Cu2 0.500 0.000 0.500
```

Largest 9 diffraction maxima, low angle first, 2θ = 10–80°:
32.75 deg, rel. 1; 43.96 deg, rel. 51; 44.19 deg, rel. 51; 44.37 deg, rel. 100; 51.52 deg, rel. 93; 75.41 deg, rel. 9; 75.70 deg, rel. 18; 76.03 deg, rel. 18; 76.26 deg, rel. 9

***

For TaMo, a crystal structure in Alexandria, relaxed with GGA-PBE gives the simulated PXRD pattern in this record (Cu Ka).
Kinematic intensities with the Lorentz-polarization factor, no thermal factor.

Atomic structure:
```
data_TaMo
_cell_length_a 3.221
_cell_length_b 4.600
_cell_length_c 18.273
_cell_angle_alpha 90.00
_cell_angle_beta 90.00
_cell_angle_gamma 90.00
_symmetry_space_group_name_H-M 'P 1'
_symmetry_Int_Tables_number 1
loop_
_symmetry_equiv_pos_as_xyz
'x,y,z'
loop_
_atom_site_label
_atom_site_fract_x
_atom_site_fract_y
_atom_site_fract_z
Ta1 0.000 0.000 0.000
Ta2 0.000 0.000 0.500
Ta3 0.000 0.500 0.129
Ta4 0.000 0.500 0.871
Ta5 0.500 0.000 0.371
Ta6 0.500 0.000 0.629
Ta7 0.500 0.500 0.000
Ta8 0.500 0.500 0.500
Mo1 0.000 0.000 0.248
Mo2 0.000 0.000 0.752
Mo3 0.000 0.500 0.371
Mo4 0.000 0.500 0.629
Mo5 0.500 0.000 0.129
Mo6 0.500 0.000 0.871
Mo7 0.500 0.500 0.252
Mo8 0.500 0.500 0.748
```

Largest 12 diffraction maxima, low angle first, 2θ = 10–80°:
19.91 deg, rel. 2; 24.25 deg, rel. 1; 29.33 deg, rel. 2; 35.41 deg, rel. 3; 39.17 deg, rel. 21; 39.44 deg, rel. 100; 56.81 deg, rel. 14; 57.20 deg, rel. 7; 61.76 deg, rel. 2; 71.17 deg, rel. 14; 71.54 deg, rel. 20; 71.71 deg, rel. 7